This entry pairs a crystal structure of Th5As4 with its calculated powder X-ray diffraction pattern. Radiation: Cu Kα, 1.54184 Å. Structure: a DFT-relaxed cell (PBE, Alexandria).
Neutral-atom scattering factors, no anomalous dispersion.

Main lines, most intense first (15° ≤ 2θ ≤ 90°):
- 2θ = 28.0°, I 100
- 2θ = 35.2°, I 63
- 2θ = 33.3°, I 56
- 2θ = 23.4°, I 34
- 2θ = 38.4°, I 33
- 2θ = 58.0°, I 24
- 2θ = 54.1°, I 20
- 2θ = 71.1°, I 19
- 2θ = 51.7°, I 18
- 2θ = 46.0°, I 16
- 2θ = 46.7°, I 13
- 2θ = 31.8°, I 11

Cell and atoms:
```
Th5As4
1.0
-6.013 6.013 1.974
6.013 -6.013 1.974
6.013 6.013 -1.974
Th As
5 4
direct
0.000 0.000 0.000
0.268 0.593 0.861
0.407 0.268 0.675
0.593 0.732 0.325
0.732 0.407 0.139
0.098 0.768 0.866
0.232 0.098 0.331
0.768 0.902 0.669
0.902 0.232 0.134
```